Entry 1:
# Na8SeF6
Calculated powder XRD pattern, Cu Kα X-rays. Input: a crystal structure in Alexandria, relaxed with PBE.

Cell and atoms:
```
data_Na8SeF6
_chemical_formula_sum 'Na8 Se1 F6'
_cell_length_a 6.458
_cell_length_b 6.458
_cell_length_c 6.458
_cell_angle_alpha 93.93
_cell_angle_beta 93.93
_cell_angle_gamma 93.93
_symmetry_space_group_name_H-M 'P 1'
_symmetry_Int_Tables_number 1
loop_
_symmetry_equiv_pos_as_xyz
'x,y,z'
loop_
_atom_site_label
_atom_site_fract_x
_atom_site_fract_y
_atom_site_fract_z
Na1 0.126 0.343 0.774
Na2 0.224 0.224 0.224
Na3 0.226 0.874 0.657
Na4 0.343 0.774 0.126
Na5 0.657 0.226 0.874
Na6 0.774 0.126 0.343
Na7 0.776 0.776 0.776
Na8 0.874 0.657 0.226
Se1 0.500 0.500 0.500
F1 0.083 0.667 0.881
F2 0.119 0.917 0.333
F3 0.333 0.119 0.917
F4 0.667 0.881 0.083
F5 0.881 0.083 0.667
F6 0.917 0.333 0.119
```

Main lines, low angle first (2θ from 10° to 90°):
2θ 23.39, intensity 69
2θ 25.72, intensity 51
2θ 30.17, intensity 100
2θ 32.05, intensity 70
2θ 32.87, intensity 94
2θ 40.73, intensity 43
2θ 41.17, intensity 57
2θ 45.62, intensity 52
2θ 51.21, intensity 39
2θ 58.17, intensity 38

***

Entry 2:
# RbTmHg
Calculated powder XRD pattern, Cu Kα X-rays. Input: a crystal structure in Alexandria, relaxed with PBE.

Cell and atoms:
```
data_RbTmHg
_chemical_formula_sum 'Rb2 Tm2 Hg2'
_cell_length_a 17.239
_cell_length_b 3.922
_cell_length_c 3.922
_cell_angle_alpha 59.98
_cell_angle_beta 90.00
_cell_angle_gamma 90.00
_symmetry_space_group_name_H-M 'P 1'
_symmetry_Int_Tables_number 1
loop_
_symmetry_equiv_pos_as_xyz
'x,y,z'
loop_
_atom_site_label
_atom_site_fract_x
_atom_site_fract_y
_atom_site_fract_z
Rb1 0.172 0.000 0.000
Rb2 0.828 0.000 0.000
Tm1 0.382 0.670 0.670
Tm2 0.618 0.670 0.670
Hg1 0.000 0.666 0.666
Hg2 0.500 0.003 0.003
```

Main lines, low angle first (2θ from 10° to 90°):
2θ 10.26, intensity 47
2θ 26.24, intensity 37
2θ 28.24, intensity 11
2θ 30.58, intensity 100
2θ 37.16, intensity 38
2θ 41.15, intensity 11
2θ 46.31, intensity 29
2θ 50.14, intensity 13
2θ 56.51, intensity 18
2θ 75.96, intensity 15

***

Entry 3:
# Ta3Nb2Ru
Calculated powder XRD pattern, Cu Kα X-rays. Input: a crystal structure in Alexandria, relaxed with PBE.

Cell and atoms:
```
data_Ta3Nb2Ru
_chemical_formula_sum 'Ta6 Nb4 Ru2'
_cell_length_a 7.974
_cell_length_b 7.974
_cell_length_c 4.612
_cell_angle_alpha 106.79
_cell_angle_beta 106.79
_cell_angle_gamma 119.68
_symmetry_space_group_name_H-M 'P 1'
_symmetry_Int_Tables_number 1
loop_
_symmetry_equiv_pos_as_xyz
'x,y,z'
loop_
_atom_site_label
_atom_site_fract_x
_atom_site_fract_y
_atom_site_fract_z
Ta1 0.000 0.500 0.000
Ta2 0.162 0.324 0.493
Ta3 0.324 0.162 0.993
Ta4 0.500 0.000 0.500
Ta5 0.676 0.838 0.007
Ta6 0.838 0.676 0.507
Nb1 0.251 0.749 0.750
Nb2 0.417 0.583 0.250
Nb3 0.583 0.417 0.750
Nb4 0.749 0.251 0.250
Ru1 0.082 0.918 0.250
Ru2 0.918 0.082 0.750
```

Main lines, low angle first (2θ from 10° to 90°):
2θ 27.39, intensity 8
2θ 39.01, intensity 100
2θ 39.20, intensity 20
2θ 56.12, intensity 7
2θ 56.53, intensity 14
2θ 70.49, intensity 7
2θ 70.58, intensity 7
2θ 70.72, intensity 14
2θ 70.91, intensity 14
2θ 83.75, intensity 9

***

Entry 4:
# Yb
Calculated powder XRD pattern, Cu Kα X-rays. Input: a crystal structure in Alexandria, relaxed with PBE.

Cell and atoms:
```
data_Yb
_chemical_formula_sum 'Yb1'
_cell_length_a 3.829
_cell_length_b 3.829
_cell_length_c 3.829
_cell_angle_alpha 60.00
_cell_angle_beta 60.00
_cell_angle_gamma 60.00
_symmetry_space_group_name_H-M 'P 1'
_symmetry_Int_Tables_number 1
loop_
_symmetry_equiv_pos_as_xyz
'x,y,z'
loop_
_atom_site_label
_atom_site_fract_x
_atom_site_fract_y
_atom_site_fract_z
Yb1 0.000 0.000 0.000
```

Main lines, low angle first (2θ from 10° to 90°):
2θ 28.55, intensity 100
2θ 33.09, intensity 51
2θ 47.50, intensity 38
2θ 56.36, intensity 45
2θ 59.11, intensity 13
2θ 69.43, intensity 6
2θ 76.72, intensity 18
2θ 79.10, intensity 17
2θ 88.46, intensity 13

***

Entry 5:
# Li2YSiGe2
Calculated powder XRD pattern, Cu Kα X-rays. Input: a crystal structure in Alexandria, relaxed with PBE.

Cell and atoms:
```
data_Li2YSiGe2
_chemical_formula_sum 'Li4 Y2 Si2 Ge4'
_cell_length_a 4.023
_cell_length_b 7.640
_cell_length_c 7.710
_cell_angle_alpha 90.00
_cell_angle_beta 90.00
_cell_angle_gamma 90.00
_symmetry_space_group_name_H-M 'P 1'
_symmetry_Int_Tables_number 1
loop_
_symmetry_equiv_pos_as_xyz
'x,y,z'
loop_
_atom_site_label
_atom_site_fract_x
_atom_site_fract_y
_atom_site_fract_z
Li1 0.000 0.100 0.000
Li2 0.000 0.900 0.500
Li3 0.500 0.145 0.662
Li4 0.500 0.855 0.162
Y1 0.500 0.476 0.998
Y2 0.500 0.524 0.498
Si1 0.000 0.345 0.260
Si2 0.000 0.655 0.760
Ge1 0.000 0.342 0.739
Ge2 0.000 0.658 0.239
Ge3 0.500 0.164 0.300
Ge4 0.500 0.836 0.800
```

Main lines, low angle first (2θ from 10° to 90°):
2θ 11.58, intensity 100
2θ 26.03, intensity 34
2θ 27.60, intensity 47
2θ 32.16, intensity 30
2θ 33.01, intensity 39
2θ 34.29, intensity 95
2θ 41.99, intensity 54
2θ 45.07, intensity 25
2θ 56.99, intensity 16
2θ 64.96, intensity 18

***

Entry 6:
# CsIn2SnI8
Calculated powder XRD pattern, Cu Kα X-rays. Input: a crystal structure in Alexandria, relaxed with PBE.

Cell and atoms:
```
data_CsIn2SnI8
_chemical_formula_sum 'Cs1 In2 Sn1 I8'
_cell_length_a 12.553
_cell_length_b 12.553
_cell_length_c 12.553
_cell_angle_alpha 35.49
_cell_angle_beta 35.49
_cell_angle_gamma 35.49
_symmetry_space_group_name_H-M 'P 1'
_symmetry_Int_Tables_number 1
loop_
_symmetry_equiv_pos_as_xyz
'x,y,z'
loop_
_atom_site_label
_atom_site_fract_x
_atom_site_fract_y
_atom_site_fract_z
Cs1 0.000 0.000 0.000
In1 0.252 0.252 0.252
In2 0.748 0.748 0.748
Sn1 0.500 0.500 0.500
I1 0.128 0.415 0.777
I2 0.223 0.585 0.872
I3 0.331 0.331 0.331
I4 0.415 0.777 0.128
I5 0.585 0.872 0.223
I6 0.669 0.669 0.669
I7 0.777 0.128 0.415
I8 0.872 0.223 0.585
```

Main lines, low angle first (2θ from 10° to 90°):
2θ 16.74, intensity 39
2θ 22.70, intensity 61
2θ 23.25, intensity 100
2θ 24.47, intensity 83
2θ 27.83, intensity 98
2θ 32.72, intensity 61
2θ 38.64, intensity 64
2θ 40.85, intensity 86
2θ 45.29, intensity 37
2θ 47.24, intensity 45

***

Entry 7:
# Pa3Cu4Se12
Calculated powder XRD pattern, Cu Kα X-rays. Input: a crystal structure in Alexandria, relaxed with PBE.

Cell and atoms:
```
data_Pa3Cu4Se12
_chemical_formula_sum 'Pa3 Cu4 Se12'
_cell_length_a 8.413
_cell_length_b 8.413
_cell_length_c 8.413
_cell_angle_alpha 109.47
_cell_angle_beta 109.47
_cell_angle_gamma 109.47
_symmetry_space_group_name_H-M 'P 1'
_symmetry_Int_Tables_number 1
loop_
_symmetry_equiv_pos_as_xyz
'x,y,z'
loop_
_atom_site_label
_atom_site_fract_x
_atom_site_fract_y
_atom_site_fract_z
Pa1 0.000 0.500 0.500
Pa2 0.500 0.000 0.500
Pa3 0.500 0.500 0.000
Cu1 0.000 0.000 0.500
Cu2 0.000 0.500 0.000
Cu3 0.500 0.000 0.000
Cu4 0.500 0.500 0.500
Se1 0.087 0.313 0.774
Se2 0.226 0.538 0.313
Se3 0.226 0.913 0.687
Se4 0.313 0.226 0.538
Se5 0.313 0.774 0.087
Se6 0.462 0.687 0.774
Se7 0.538 0.313 0.226
Se8 0.687 0.226 0.913
Se9 0.687 0.774 0.462
Se10 0.774 0.087 0.313
Se11 0.774 0.462 0.687
Se12 0.913 0.687 0.226
```

Main lines, low angle first (2θ from 10° to 90°):
2θ 12.89, intensity 100
2θ 25.94, intensity 80
2θ 29.07, intensity 34
2θ 31.91, intensity 85
2θ 34.55, intensity 45
2θ 37.02, intensity 93
2θ 45.76, intensity 84
2θ 53.35, intensity 40
2θ 72.87, intensity 42
2θ 84.66, intensity 34

***

Entry 8:
# PrMg2OsN4
Calculated powder XRD pattern, Cu Kα X-rays. Input: a crystal structure in Alexandria, relaxed with PBE.

Cell and atoms:
```
data_PrMg2OsN4
_chemical_formula_sum 'Pr2 Mg4 Os2 N8'
_cell_length_a 6.056
_cell_length_b 6.056
_cell_length_c 10.884
_cell_angle_alpha 90.00
_cell_angle_beta 90.00
_cell_angle_gamma 147.82
_symmetry_space_group_name_H-M 'P 1'
_symmetry_Int_Tables_number 1
loop_
_symmetry_equiv_pos_as_xyz
'x,y,z'
loop_
_atom_site_label
_atom_site_fract_x
_atom_site_fract_y
_atom_site_fract_z
Pr1 0.079 0.921 0.750
Pr2 0.921 0.079 0.250
Mg1 0.387 0.613 0.532
Mg2 0.387 0.613 0.968
Mg3 0.613 0.387 0.032
Mg4 0.613 0.387 0.468
Os1 0.181 0.819 0.250
Os2 0.819 0.181 0.750
N1 0.000 0.000 0.000
N2 0.000 0.000 0.500
N3 0.279 0.721 0.119
N4 0.279 0.721 0.381
N5 0.414 0.586 0.750
N6 0.586 0.414 0.250
N7 0.721 0.279 0.619
N8 0.721 0.279 0.881
```

Main lines, low angle first (2θ from 10° to 90°):
2θ 16.29, intensity 100
2θ 27.66, intensity 19
2θ 28.87, intensity 15
2θ 31.84, intensity 42
2θ 32.26, intensity 46
2θ 32.92, intensity 32
2θ 36.34, intensity 38
2θ 39.16, intensity 26
2θ 39.71, intensity 30
2θ 43.51, intensity 26